Computed powder X-ray diffraction pattern
Compound: SrCdBiBr
Radiation: Cu Kα (weighted mean of Kα1 and Kα2)
Structure: a DFT-relaxed cell (PBE, Alexandria)

Structural model:
a b c (Å): 4.922 4.922 10.294
angles (deg): 90.00 90.00 90.00
Fractional coordinates of all 8 atoms:
Sr 0.250 0.250 0.188
Sr 0.750 0.750 0.812
Cd 0.250 0.750 0.500
Cd 0.750 0.250 0.500
Bi 0.250 0.250 0.684
Bi 0.750 0.750 0.316
Br 0.250 0.750 0.000
Br 0.750 0.250 0.000

Principal peaks in the range 2θ = 10–90°, most intense first:
- 2θ 31.02, rel. 100.0
- 2θ 36.51, rel. 48.9
- 2θ 25.03, rel. 48.6
- 2θ 39.51, rel. 28.3
- 2θ 62.33, rel. 26.8
- 2θ 54.89, rel. 22.0
- 2θ 44.78, rel. 21.0
- 2θ 20.00, rel. 19.9
- 2θ 79.43, rel. 18.0
- 2θ 52.60, rel. 17.0

=====

Computed powder X-ray diffraction pattern
Compound: Ce3SmDy4S8
Radiation: Cu Kα (weighted mean of Kα1 and Kα2)
Structure: a DFT-relaxed cell (PBE, Alexandria)

Structural model:
a b c (Å): 7.953 7.953 7.953
angles (deg): 59.53 59.53 59.53
Fractional coordinates of all 16 atoms:
Ce 0.000 0.500 0.500
Ce 0.500 0.000 0.500
Ce 0.500 0.500 0.000
Sm 0.000 0.000 0.000
Dy 0.000 0.000 0.500
Dy 0.000 0.500 0.000
Dy 0.500 0.000 0.000
Dy 0.500 0.500 0.500
S 0.246 0.246 0.246
S 0.246 0.747 0.747
S 0.253 0.253 0.754
S 0.253 0.754 0.253
S 0.747 0.246 0.747
S 0.747 0.747 0.246
S 0.754 0.253 0.253
S 0.754 0.754 0.754

Principal peaks in the range 2θ = 10–90°, most intense first:
- 2θ 31.94, rel. 100.0
- 2θ 27.64, rel. 58.1
- 2θ 45.63, rel. 36.3
- 2θ 45.97, rel. 35.7
- 2θ 27.37, rel. 19.9
- 2θ 54.34, rel. 19.1
- 2θ 57.07, rel. 18.6
- 2θ 75.69, rel. 15.9
- 2θ 76.20, rel. 15.8
- 2θ 84.88, rel. 12.2

=====

Computed powder X-ray diffraction pattern
Compound: NbSBr2O6
Radiation: Cu Kα (weighted mean of Kα1 and Kα2)
Structure: a DFT-relaxed cell (PBE, Alexandria)

Structural model:
a b c (Å): 4.878 5.032 6.696
angles (deg): 84.79 86.08 87.37
Fractional coordinates of all 10 atoms:
Nb 0.000 0.000 0.000
S 0.500 0.500 0.000
Br 0.317 0.648 0.595
Br 0.683 0.352 0.405
O 0.131 0.957 0.728
O 0.244 0.675 0.088
O 0.322 0.248 0.025
O 0.678 0.752 0.975
O 0.756 0.325 0.912
O 0.869 0.043 0.272

Principal peaks in the range 2θ = 10–90°, most intense first:
- 2θ 25.01, rel. 100.0
- 2θ 21.93, rel. 46.4
- 2θ 23.15, rel. 45.6
- 2θ 29.18, rel. 38.4
- 2θ 26.79, rel. 34.8
- 2θ 33.61, rel. 26.1
- 2θ 41.21, rel. 18.6
- 2θ 31.59, rel. 18.1
- 2θ 38.00, rel. 16.9
- 2θ 48.61, rel. 16.9

=====

Computed powder X-ray diffraction pattern
Compound: Mn2CuSb2Pt
Radiation: Cu Kα (weighted mean of Kα1 and Kα2)
Structure: a DFT-relaxed cell (PBE, Alexandria)

Structural model:
a b c (Å): 7.578 7.578 7.578
angles (deg): 33.57 33.57 33.57
Fractional coordinates of all 6 atoms:
Mn 0.000 0.000 0.000
Mn 0.499 0.499 0.499
Cu 0.374 0.374 0.374
Sb 0.251 0.251 0.251
Sb 0.747 0.747 0.747
Pt 0.875 0.875 0.875

Principal peaks in the range 2θ = 10–90°, most intense first:
- 2θ 41.26, rel. 100.0
- 2θ 24.92, rel. 56.7
- 2θ 75.22, rel. 32.4
- 2θ 48.81, rel. 28.0
- 2θ 59.77, rel. 16.2
- 2θ 65.77, rel. 11.4
- 2θ 89.60, rel. 10.6
- 2θ 12.39, rel. 10.4
- 2θ 80.67, rel. 8.6
- 2θ 23.84, rel. 7.8